# 1
Diffraction record for PmOs6. The X-ray powder pattern is theoretical, not measured: it uses the GGA-PBE geometry in Alexandria and a wavelength of 1.5418 Å.

Top 6 peaks for 2θ = 5–70°, in order of rising 2θ:
| index | two_theta | I (rel.) |
| --- | --- | --- |
| 1 1 0 | 18.43 | 36 |
| 2 0 0 | 26.18 | 42 |
| 2 1 1 | 32.21 | 100 |
| 2 2 2 | 46.19 | 43 |
| 3 2 1 | 50.14 | 59 |
| 4 0 0 | 53.87 | 35 |

Atomic structure:
```
data_PmOs6
_space_group_name_H-M_alt 'I m -3 m'
_space_group_IT_number 229
_space_group_name_Hall '-I 4 2 3'
_cell_length_a 6.808
_cell_length_b 6.808
_cell_length_c 6.808
_cell_angle_alpha 90.00
_cell_angle_beta 90.00
_cell_angle_gamma 90.00
loop_
_atom_site_label
_atom_site_type_symbol
_atom_site_fract_x
_atom_site_fract_y
_atom_site_fract_z
Pm1 Pm 0.000 0.000 0.000
Os1 Os 0.000 0.250 0.500
```

# 2
Diffraction record for Pm2Pr3Os2. The X-ray powder pattern is theoretical, not measured: it uses the GGA-PBE geometry in Alexandria and a wavelength of 1.5418 Å.

Top 6 peaks for 2θ = 5–70°, in order of rising 2θ:
| index | two_theta | I (rel.) |
| --- | --- | --- |
| 3 1 -1 | 30.90 | 100 |
| 2 0 2 | 31.67 | 59 |
| 3 1 0 | 32.06 | 70 |
| 3 1 -2 | 33.74 | 69 |
| 1 1 2 | 34.38 | 60 |
| 1 1 -3 | 38.64 | 59 |

Atomic structure:
```
data_Pm2Pr3Os2
_space_group_name_H-M_alt 'C 1 2/m 1'
_space_group_IT_number 12
_cell_length_a 12.454
_cell_length_b 4.060
_cell_length_c 8.643
_cell_angle_alpha 90.00
_cell_angle_beta 112.18
_cell_angle_gamma 90.00
loop_
_space_group_symop_operation_xyz
'x,y,z'
'-x,-y,-z'
'-x,y,-z'
'x,-y,z'
'x+1/2,y+1/2,z'
'-x+1/2,-y+1/2,-z'
'-x+1/2,y+1/2,-z'
'x+1/2,-y+1/2,z'
loop_
_atom_site_label
_atom_site_type_symbol
_atom_site_fract_x
_atom_site_fract_y
_atom_site_fract_z
Pm1 Pm 0.169 0.000 0.315
Pr1 Pr 0.000 0.500 0.500
Pr2 Pr 0.123 0.500 0.927
Os1 Os 0.181 0.000 0.718
```

# 3
Diffraction record for Pm6OsPt2. The X-ray powder pattern is theoretical, not measured: it uses the GGA-PBE geometry in Alexandria and a wavelength of 1.5418 Å.

Top 6 peaks for 2θ = 5–70°, in order of rising 2θ:
| index | two_theta | I (rel.) |
| --- | --- | --- |
| 1 2 0 | 28.33 | 40 |
| 1 0 -4 | 29.72 | 100 |
| 1 2 1 | 31.90 | 30 |
| 1 1 -4 | 32.14 | 28 |
| 1 3 -1 | 38.48 | 31 |
| 3 1 -5 | 46.39 | 28 |

Atomic structure:
```
data_Pm6OsPt2
_space_group_name_H-M_alt 'P 1 21/c 1'
_space_group_IT_number 14
_cell_length_a 6.804
_cell_length_b 7.476
_cell_length_c 12.044
_cell_angle_alpha 90.00
_cell_angle_beta 120.75
_cell_angle_gamma 90.00
loop_
_space_group_symop_operation_xyz
'x,y,z'
'-x,-y,-z'
'-x,y+1/2,-z+1/2'
'x,-y+1/2,z+1/2'
loop_
_atom_site_label
_atom_site_type_symbol
_atom_site_fract_x
_atom_site_fract_y
_atom_site_fract_z
Pm1 Pm 0.090 0.047 0.250
Pm2 Pm 0.251 0.680 0.075
Pm3 Pm 0.399 0.181 0.068
Os1 Os 0.000 0.000 0.000
Pt1 Pt 0.321 0.115 0.766
```

# 4
Diffraction record for PmPu2Os9. The X-ray powder pattern is theoretical, not measured: it uses the GGA-PBE geometry in Alexandria and a wavelength of 1.5418 Å.

Top 6 peaks for 2θ = 5–70°, in order of rising 2θ:
| index | two_theta | I (rel.) |
| --- | --- | --- |
| 2 2 -1 | 38.85 | 72 |
| 0 2 2 | 39.27 | 90 |
| 3 1 -3 | 39.63 | 100 |
| 3 1 1 | 39.95 | 82 |
| 0 0 4 | 41.58 | 55 |
| 2 2 1 | 42.64 | 55 |

Atomic structure:
```
data_PmPu2Os9
_space_group_name_H-M_alt 'C 1 2/m 1'
_space_group_IT_number 12
_cell_length_a 9.146
_cell_length_b 5.403
_cell_length_c 9.235
_cell_angle_alpha 90.00
_cell_angle_beta 109.83
_cell_angle_gamma 90.00
loop_
_space_group_symop_operation_xyz
'x,y,z'
'-x,-y,-z'
'-x,y,-z'
'x,-y,z'
'x+1/2,y+1/2,z'
'-x+1/2,-y+1/2,-z'
'-x+1/2,y+1/2,-z'
'x+1/2,-y+1/2,z'
loop_
_atom_site_label
_atom_site_type_symbol
_atom_site_fract_x
_atom_site_fract_y
_atom_site_fract_z
Pm1 Pm 0.000 0.000 0.000
Pu1 Pu 0.141 0.000 0.424
Os1 Os 0.000 0.500 0.500
Os2 Os 0.099 0.500 0.264
Os3 Os 0.137 0.500 0.993
Os4 Os 0.167 0.249 0.760
```